Computed PXRD pattern
Compound: TlCrF3
Radiation: Cu Kα (weighted mean of Kα1 and Kα2)
Structure: DFT lattice parameters and positions (PBE+U)
No peak broadening, texture or thermal motion is included.

Atomic structure:
```
data_TlCrF3
_chemical_formula_sum 'Tl4 Cr4 F12'
_cell_length_a 10.979
_cell_length_b 3.560
_cell_length_c 9.036
_cell_angle_alpha 90.00
_cell_angle_beta 90.00
_cell_angle_gamma 90.00
_symmetry_space_group_name_H-M 'P n m a'
_symmetry_Int_Tables_number 62
_symmetry_space_group_name_Hall '-P 2ac 2n'
loop_
_atom_site_label
_atom_site_fract_x
_atom_site_fract_y
_atom_site_fract_z
Tl1 0.184 0.250 0.008
Cr1 0.022 0.250 0.344
F1 0.060 0.750 0.851
F2 0.090 0.250 0.555
F3 0.125 0.750 0.290
```

Peak list (6 most intense, 2θ = 15–90°, in order of falling intensity)
h k l	two_theta	I/Imax
1 1 1	28.14	100
3 0 1	26.27	91
0 0 2	19.65	61
2 1 2	36.05	59
2 0 2	25.53	52
1 1 3	40.06	46

Computed PXRD pattern
Compound: TlCr3F9
Radiation: Cu Kα (weighted mean of Kα1 and Kα2)
Structure: DFT lattice parameters and positions (PBE+U)
No peak broadening, texture or thermal motion is included.

Atomic structure:
```
data_TlCr3F9
_chemical_formula_sum 'Tl1 Cr3 F9'
_cell_length_a 7.5486
_cell_length_b 7.5486
_cell_length_c 3.9979
_cell_angle_alpha 90.00
_cell_angle_beta 90.00
_cell_angle_gamma 120.00
_symmetry_space_group_name_H-M 'P 6/m m m'
_symmetry_Int_Tables_number 191
_symmetry_space_group_name_Hall '-P 6 2'
loop_
_atom_site_label
_atom_site_fract_x
_atom_site_fract_y
_atom_site_fract_z
Tl1 0.0000 0.0000 0.0000
Cr1 0.0000 0.5000 0.5000
F1 0.0000 0.5000 0.0000
F2 0.2027 0.4054 0.5000
```

Peak list (6 most intense, 2θ = 15–90°, in order of falling intensity)
h k l	two_theta	I/Imax
2 0 0	27.28	100
1 0 1	26.13	95
1 1 1	32.63	59
2 2 0	48.22	32
3 0 1	47.53	30
2 0 2	53.75	29